Starting from a PBE+U-relaxed structure, the X-ray powder pattern of Ba2Mg2Mn3Tl2O10 was simulated for CuKα.
Intensities are scaled so that the largest is 1000.

Structure:
Cell: 3.7524 3.7597 20.2752 Å, 94.94 95.06 90.09°
Space group P1 (No. 1)
Symmetry-distinct sites (fractional):
Ba: 0.0000 0.0000 0.0000
Ba: 0.3192 0.2484 0.6008
Mg: 0.1146 0.0963 0.2070
Mg: 0.2191 0.1616 0.3922
Mn: 0.5474 0.5569 0.1215
Mn: 0.6717 0.6340 0.3002
Mn: 0.7606 0.6754 0.4787
Tl: 0.4421 0.4156 0.8580
Tl: 0.8875 0.8532 0.7424
O: 0.0215 0.5825 0.1778
O: 0.1867 0.6318 0.3307
O: 0.2580 0.5843 0.4732
O: 0.3816 0.4020 0.7350
O: 0.4706 0.0594 0.1272
O: 0.5067 0.5118 0.0242
O: 0.6431 0.1205 0.2693
O: 0.7328 0.0861 0.4211
O: 0.8073 0.7291 0.5758
O: 0.9557 0.8782 0.8651

Main lines, sorted by position (10 to 90 degrees two-theta):
2θ/deg, I/Imax
28.31, 613
28.46, 562
31.02, 620
31.16, 1000
33.75, 873
34.05, 391
35.70, 229
46.53, 170
48.47, 418
49.93, 179
58.69, 278
58.90, 214